Record 1
The following is a calculated XRD peak list of Pm2Hg5Pd3. It was derived from DFT lattice parameters and positions (PBE), using copper Kα.

Atomic structure:
```
data_Pm2Hg5Pd3
_chemical_formula_sum 'Pm8 Hg20 Pd12'
_space_group_name_H-M_alt 'C 1 2/c 1'
_space_group_IT_number 15
_cell_length_a 11.9157
_cell_length_b 13.3527
_cell_length_c 5.8172
_cell_angle_alpha 90.00
_cell_angle_beta 102.47
_cell_angle_gamma 90.00
loop_
_space_group_symop_operation_xyz
'x,y,z'
'-x,-y,-z'
'-x,y,-z+1/2'
'x,-y,z+1/2'
'x+1/2,y+1/2,z'
'-x+1/2,-y+1/2,-z'
'-x+1/2,y+1/2,-z+1/2'
'x+1/2,-y+1/2,z+1/2'
loop_
_atom_site_label
_atom_site_type_symbol
_atom_site_fract_x
_atom_site_fract_y
_atom_site_fract_z
Pm1 Pm 0.1089 0.2106 0.0646
Hg1 Hg 0.0000 0.0004 0.2500
Hg2 Hg 0.1255 0.3463 0.5642
Hg3 Hg 0.2033 0.4405 0.0582
Pd1 Pd 0.0000 0.4905 0.2500
Pd2 Pd 0.1409 0.1412 0.5637
```

Top 10 peaks for 5° ≤ 2θ ≤ 70°, low angle first:
- 2θ 23.9, d 3.724, I 44, hkl 3 1 0
- 2θ 31.5, d 2.840, I 57, hkl 0 0 2
- 2θ 32.1, d 2.791, I 39, hkl 3 3 -1
- 2θ 33.2, d 2.700, I 58, hkl 2 4 -1
- 2θ 33.6, d 2.667, I 90, hkl 4 2 0
- 2θ 34.2, d 2.622, I 34, hkl 4 2 -1
- 2θ 34.7, d 2.583, I 62, hkl 2 2 -2
- 2θ 38.1, d 2.359, I 82, hkl 2 0 2
- 2θ 38.7, d 2.324, I 100, hkl 1 5 1
- 2θ 39.3, d 2.295, I 48, hkl 4 0 -2

Record 2
The following is a calculated XRD peak list of Pm3Nd3Ho2. It was derived from DFT lattice parameters and positions (PBE), using copper Kα.

Atomic structure:
```
data_Pm3Nd3Ho2
_chemical_formula_sum 'Pm6 Nd6 Ho4'
_space_group_name_H-M_alt 'P 1 21/m 1'
_space_group_IT_number 11
_cell_length_a 5.8479
_cell_length_b 14.7306
_cell_length_c 6.3533
_cell_angle_alpha 90.00
_cell_angle_beta 90.01
_cell_angle_gamma 90.00
loop_
_space_group_symop_operation_xyz
'x,y,z'
'-x,-y,-z'
'-x,y+1/2,-z'
'x,-y+1/2,z'
loop_
_atom_site_label
_atom_site_type_symbol
_atom_site_fract_x
_atom_site_fract_y
_atom_site_fract_z
Pm1 Pm 0.2493 0.2500 0.3377
Pm2 Pm 0.2505 0.6247 0.8319
Nd1 Nd 0.2500 0.9998 0.3320
Nd2 Nd 0.2507 0.7500 0.3272
Ho1 Ho 0.2495 0.1258 0.8359
```

Top 10 peaks for 5° ≤ 2θ ≤ 70°, low angle first:
- 2θ 28.0, d 3.183, I 24, hkl 0 0 2
- 2θ 30.6, d 2.924, I 25, hkl 2 0 0
- 2θ 32.0, d 2.796, I 100, hkl 1 4 1
- 2θ 42.0, d 2.153, I 16, hkl 2 0 2
- 2θ 49.5, d 1.841, I 7, hkl 0 8 0
- 2θ 49.7, d 1.836, I 13, hkl 0 4 3
- 2θ 55.3, d 1.662, I 21, hkl 3 4 1
- 2θ 59.3, d 1.558, I 8, hkl 2 8 0
- 2θ 59.4, d 1.555, I 15, hkl 2 4 3
- 2θ 60.2, d 1.537, I 11, hkl 1 8 2

Record 3
The following is a calculated XRD peak list of NiSnP. It was derived from DFT lattice parameters and positions (PBE), using copper Kα.

Atomic structure:
```
data_NiSnP
_chemical_formula_sum 'Ni2 Sn2 P2'
_space_group_name_H-M_alt 'P m n 21'
_space_group_IT_number 31
_cell_length_a 3.5447
_cell_length_b 4.7741
_cell_length_c 6.1586
_cell_angle_alpha 90.00
_cell_angle_beta 90.00
_cell_angle_gamma 90.00
loop_
_space_group_symop_operation_xyz
'x,y,z'
'-x+1/2,-y,z+1/2'
'-x,y,z'
'x+1/2,-y,z+1/2'
loop_
_atom_site_label
_atom_site_type_symbol
_atom_site_fract_x
_atom_site_fract_y
_atom_site_fract_z
Ni1 Ni 0.0000 0.1825 0.0000
Sn1 Sn 0.0000 0.4446 0.6293
P1 P 0.0000 0.0339 0.3463
```

Top 10 peaks for 5° ≤ 2θ ≤ 70°, low angle first:
- 2θ 18.6, d 4.774, I 11, hkl 0 1 0
- 2θ 29.0, d 3.076, I 28, hkl 0 0 2
- 2θ 31.4, d 2.846, I 25, hkl 1 1 0
- 2θ 34.7, d 2.585, I 100, hkl 0 1 2
- 2θ 40.5, d 2.226, I 15, hkl 0 2 1
- 2θ 48.3, d 1.885, I 35, hkl 1 2 1
- 2θ 51.4, d 1.776, I 22, hkl 1 0 3
- 2θ 51.6, d 1.772, I 13, hkl 2 0 0
- 2θ 55.2, d 1.665, I 16, hkl 1 2 2
- 2θ 63.6, d 1.462, I 12, hkl 2 1 2